# V4Ga2O9
Computed powder X-ray diffraction pattern, CuKα. Input: a DFT-relaxed cell (GGA+U, Alexandria).

Largest 10 diffraction maxima, by angle, 2θ = 15–90°:
- 23.8°, rel. 39, hkl 1 1 2
- 32.7°, rel. 100, hkl 1 1 -4
- 35.1°, rel. 80, hkl 3 1 0
- 40.2°, rel. 21, hkl 3 1 3
- 48.7°, rel. 41, hkl 4 0 -4
- 53.3°, rel. 61, hkl 3 1 6
- 61.4°, rel. 35, hkl 4 2 -4
- 62.9°, rel. 36, hkl 6 0 0
- 70.9°, rel. 15, hkl 2 0 10
- 86.9°, rel. 12, hkl 6 2 6

Structural model:
```
data_V4Ga2O9
_space_group_name_H-M_alt 'C 1 2/c 1'
_space_group_IT_number 15
_cell_length_a 8.8706
_cell_length_b 5.1173
_cell_length_c 13.9342
_cell_angle_alpha 90.00
_cell_angle_beta 90.03
_cell_angle_gamma 90.00
loop_
_space_group_symop_operation_xyz
'x,y,z'
'-x,-y,-z'
'-x,y,-z+1/2'
'x,-y,z+1/2'
'x+1/2,y+1/2,z'
'-x+1/2,-y+1/2,-z'
'-x+1/2,y+1/2,-z+1/2'
'x+1/2,-y+1/2,z+1/2'
loop_
_atom_site_label
_atom_site_type_symbol
_atom_site_fract_x
_atom_site_fract_y
_atom_site_fract_z
V1 V 0.1665 0.0001 0.0178
V2 V 0.1667 0.0002 0.3129
Ga1 Ga 0.0001 0.5001 0.1471
O1 O 0.0000 0.2017 0.2500
O2 O 0.0150 0.1552 0.9156
O3 O 0.1495 0.3496 0.7500
O4 O 0.1648 0.3050 0.4156
O5 O 0.1799 0.3503 0.0844
```

=====

# V2Ga4O9
Computed powder X-ray diffraction pattern, CuKα. Input: a DFT-relaxed cell (GGA+U, Alexandria).

Largest 10 diffraction maxima, by angle, 2θ = 15–90°:
- 24.0°, rel. 31, hkl 1 1 2
- 33.0°, rel. 100, hkl 1 1 -4
- 35.2°, rel. 81, hkl 3 1 0
- 40.5°, rel. 15, hkl 3 1 3
- 49.0°, rel. 40, hkl 4 0 -4
- 53.8°, rel. 51, hkl 3 1 6
- 61.8°, rel. 36, hkl 4 2 -4
- 63.2°, rel. 33, hkl 6 0 0
- 71.8°, rel. 14, hkl 2 0 10
- 83.9°, rel. 12, hkl 7 1 -4

Structural model:
```
data_V2Ga4O9
_space_group_name_H-M_alt 'C 1 2/c 1'
_space_group_IT_number 15
_cell_length_a 8.8255
_cell_length_b 5.0931
_cell_length_c 13.7725
_cell_angle_alpha 90.00
_cell_angle_beta 90.01
_cell_angle_gamma 90.00
loop_
_space_group_symop_operation_xyz
'x,y,z'
'-x,-y,-z'
'-x,y,-z+1/2'
'x,-y,z+1/2'
'x+1/2,y+1/2,z'
'-x+1/2,-y+1/2,-z'
'-x+1/2,y+1/2,-z+1/2'
'x+1/2,-y+1/2,z+1/2'
loop_
_atom_site_label
_atom_site_type_symbol
_atom_site_fract_x
_atom_site_fract_y
_atom_site_fract_z
V1 V 0.0000 0.9997 0.1461
Ga1 Ga 0.1665 0.4998 0.0219
Ga2 Ga 0.1667 0.4996 0.3133
O1 O 0.0000 0.3059 0.2500
O2 O 0.0149 0.3533 0.9176
O3 O 0.1531 0.1540 0.7500
O4 O 0.1693 0.1989 0.4177
O5 O 0.1839 0.1544 0.0823
```

=====

# VGa2O5
Computed powder X-ray diffraction pattern, CuKα. Input: a DFT-relaxed cell (GGA+U, Alexandria).

Largest 10 diffraction maxima, by angle, 2θ = 15–90°:
- 17.1°, rel. 35, hkl 0 0 2
- 17.5°, rel. 26, hkl 0 2 0
- 26.6°, rel. 100, hkl 1 1 0
- 31.4°, rel. 97, hkl 0 2 3
- 36.8°, rel. 28, hkl 1 3 0
- 37.4°, rel. 25, hkl 1 1 3
- 44.4°, rel. 22, hkl 0 4 3
- 51.4°, rel. 46, hkl 2 0 0
- 59.0°, rel. 32, hkl 1 5 3
- 61.5°, rel. 25, hkl 2 2 3

Structural model:
```
data_VGa2O5
_space_group_name_H-M_alt 'C m c m'
_space_group_IT_number 63
_space_group_name_Hall '-C 2c 2'
_cell_length_a 3.5515
_cell_length_b 10.1088
_cell_length_c 10.3615
_cell_angle_alpha 90.00
_cell_angle_beta 90.00
_cell_angle_gamma 90.00
loop_
_atom_site_label
_atom_site_type_symbol
_atom_site_fract_x
_atom_site_fract_y
_atom_site_fract_z
V1 V 0.0000 0.1692 0.2500
Ga1 Ga 0.0000 0.1351 0.5509
O1 O 0.0000 0.0434 0.1158
O2 O 0.0000 0.2735 0.7500
O3 O 0.0000 0.3019 0.0821
```

=====

# V3Zn2GaO11
Computed powder X-ray diffraction pattern, CuKα. Input: a DFT-relaxed cell (GGA+U, Alexandria).

Largest 10 diffraction maxima, by angle, 2θ = 15–90°:
- 20.5°, rel. 20, hkl 1 0 -2
- 26.6°, rel. 71, hkl 0 2 -1
- 27.2°, rel. 52, hkl 1 -2 0
- 27.8°, rel. 93, hkl 0 0 3
- 28.2°, rel. 35, hkl 1 0 -3
- 28.5°, rel. 100, hkl 2 0 0
- 28.7°, rel. 36, hkl -2 1 1
- 45.0°, rel. 21, hkl 2 0 3
- 46.0°, rel. 21, hkl 1 0 -5
- 53.1°, rel. 33, hkl 1 -4 1

Structural model:
```
data_V3Zn2GaO11
_space_group_name_H-M_alt 'P -1'
_space_group_IT_number 2
_cell_length_a 6.5720
_cell_length_b 6.9291
_cell_length_c 9.9831
_cell_angle_alpha 97.91
_cell_angle_beta 101.51
_cell_angle_gamma 101.39
loop_
_space_group_symop_operation_xyz
'x,y,z'
'-x,-y,-z'
loop_
_atom_site_label
_atom_site_type_symbol
_atom_site_fract_x
_atom_site_fract_y
_atom_site_fract_z
V1 V 0.1763 0.4834 0.2856
V2 V 0.1970 0.0742 0.6146
V3 V 0.2583 0.1797 0.9779
Zn1 Zn 0.2896 0.0040 0.2793
Zn2 Zn 0.3219 0.6211 0.6625
Ga1 Ga 0.1890 0.6764 0.0024
O1 O 0.1064 0.6292 0.7884
O2 O 0.1114 0.0070 0.4191
O3 O 0.1236 0.3781 0.0130
O4 O 0.1596 0.0811 0.8065
O5 O 0.1958 0.5661 0.4540
O6 O 0.2168 0.9694 0.0605
O7 O 0.2465 0.7005 0.2129
O8 O 0.3120 0.3164 0.6393
O9 O 0.3489 0.3156 0.2731
O10 O 0.3886 0.9320 0.6449
O11 O 0.4784 0.7094 0.9923
```

=====

# Ga3WO7
Computed powder X-ray diffraction pattern, CuKα. Input: a DFT-relaxed cell (GGA+U, Alexandria).

Largest 10 diffraction maxima, by angle, 2θ = 15–90°:
- 17.4°, rel. 11, hkl 1 0 1
- 21.4°, rel. 22, hkl 1 1 0
- 27.7°, rel. 100, hkl 0 2 1
- 35.3°, rel. 37, hkl 2 0 2
- 43.6°, rel. 26, hkl 2 2 0
- 47.2°, rel. 14, hkl 1 3 1
- 52.4°, rel. 18, hkl 4 0 1
- 54.1°, rel. 14, hkl 0 3 3
- 61.8°, rel. 23, hkl 2 3 2
- 74.6°, rel. 11, hkl 5 1 1

Structural model:
```
data_Ga3WO7
_space_group_name_H-M_alt 'R 3 m'
_space_group_IT_number 160
_space_group_name_Hall 'R 3 -2"'
_cell_length_a 8.3159
_cell_length_b 8.3159
_cell_length_c 7.1906
_cell_angle_alpha 90.00
_cell_angle_beta 90.00
_cell_angle_gamma 120.00
loop_
_atom_site_label
_atom_site_type_symbol
_atom_site_fract_x
_atom_site_fract_y
_atom_site_fract_z
Ga1 Ga 0.0829 0.5415 0.0000
W1 W 0.0000 0.0000 0.9273
O1 O 0.0000 0.0000 0.1982
O2 O 0.2003 0.4006 0.1035
O3 O 0.2105 0.4209 0.5250
```